Starting from DFT lattice parameters and positions (GGA-PBE), the powder diffraction line list of Li6SnHg2 was calculated for Cu Kα (λ = 1.5418 Å).
No peak broadening, texture or thermal motion is included.

Main lines, sorted by position (2θ = 10–90°):
- 14.81 deg, 5.982 Å, I 34
- 20.68 deg, 4.295 Å, I 25
- 23.73 deg, 3.750 Å, I 74
- 24.33 deg, 3.659 Å, I 100
- 30.36 deg, 2.944 Å, I 68
- 37.77 deg, 2.382 Å, I 47
- 38.13 deg, 2.360 Å, I 22
- 38.53 deg, 2.337 Å, I 32
- 38.95 deg, 2.312 Å, I 24
- 46.12 deg, 1.968 Å, I 26

Atomic structure:
abc: 8.3362 8.5900 4.6244
angles: 90.00 90.00 90.00
Sites, in units of the cell vectors:
Li 0.0149 0.1749 0.0000
Li 0.1659 0.0498 0.5000
Li 0.1760 0.3872 0.5000
Li 0.3240 0.8872 0.0000
Li 0.3341 0.5498 0.0000
Li 0.4851 0.6749 0.5000
Li 0.5149 0.3251 0.5000
Li 0.6659 0.4502 0.0000
Li 0.6760 0.1128 0.0000
Li 0.8240 0.6128 0.5000
Li 0.8341 0.9502 0.5000
Li 0.9851 0.8251 0.0000
Sn 0.0000 0.5000 0.0000
Sn 0.5000 0.0000 0.5000
Hg 0.1497 0.7293 0.5000
Hg 0.3503 0.2293 0.0000
Hg 0.6497 0.7707 0.0000
Hg 0.8503 0.2707 0.5000

***

Starting from DFT lattice parameters and positions (GGA-PBE), the powder diffraction line list of Li5Sn4Hg2 was calculated for Cu Kα (λ = 1.5418 Å).
No peak broadening, texture or thermal motion is included.

Main lines, sorted by position (2θ = 10–90°):
- 22.89 deg, 3.886 Å, I 59
- 24.63 deg, 3.615 Å, I 68
- 27.41 deg, 3.253 Å, I 39
- 27.67 deg, 3.224 Å, I 100
- 35.51 deg, 2.528 Å, I 42
- 36.20 deg, 2.481 Å, I 44
- 37.05 deg, 2.427 Å, I 35
- 37.36 deg, 2.407 Å, I 68
- 39.34 deg, 2.290 Å, I 34
- 45.60 deg, 1.989 Å, I 39

Atomic structure:
abc: 7.9084 17.8470 3.2242
angles: 90.00 90.00 90.00
Sites, in units of the cell vectors:
Li 0.0000 0.0000 0.0000
Li 0.1281 0.4320 0.0000
Li 0.2325 0.2093 0.0000
Li 0.2675 0.7093 0.0000
Li 0.3719 0.9320 0.0000
Li 0.5000 0.5000 0.0000
Li 0.6281 0.0680 0.0000
Li 0.7325 0.2907 0.0000
Li 0.7675 0.7907 0.0000
Li 0.8719 0.5680 0.0000
Sn 0.0876 0.8545 0.5000
Sn 0.2106 0.5655 0.5000
Sn 0.2894 0.0655 0.5000
Sn 0.4124 0.3545 0.5000
Sn 0.5876 0.6455 0.5000
Sn 0.7106 0.9345 0.5000
Sn 0.7894 0.4345 0.5000
Sn 0.9124 0.1455 0.5000
Hg 0.0367 0.3056 0.5000
Hg 0.4633 0.8056 0.5000
Hg 0.5367 0.1944 0.5000
Hg 0.9633 0.6944 0.5000

***

Starting from DFT lattice parameters and positions (GGA-PBE), the powder diffraction line list of Li2SnHg2 was calculated for Cu Kα (λ = 1.5418 Å).
No peak broadening, texture or thermal motion is included.

Main lines, sorted by position (2θ = 10–90°):
- 25.49 deg, 3.494 Å, I 100
- 30.98 deg, 2.887 Å, I 45
- 35.07 deg, 2.558 Å, I 29
- 36.36 deg, 2.471 Å, I 56
- 36.97 deg, 2.431 Å, I 86
- 54.21 deg, 1.692 Å, I 38
- 56.92 deg, 1.618 Å, I 29
- 60.81 deg, 1.523 Å, I 19
- 67.02 deg, 1.396 Å, I 22
- 70.63 deg, 1.334 Å, I 22

Atomic structure:
abc: 7.8137 7.8137 3.3852
angles: 90.00 90.00 90.00
Sites, in units of the cell vectors:
Li 0.1406 0.3594 0.0000
Li 0.3594 0.8594 0.0000
Li 0.6406 0.1406 0.0000
Li 0.8594 0.6406 0.0000
Sn 0.0000 0.0000 0.0000
Sn 0.5000 0.5000 0.0000
Hg 0.1499 0.6499 0.5000
Hg 0.3501 0.1499 0.5000
Hg 0.6499 0.8501 0.5000
Hg 0.8501 0.3501 0.5000

***

Starting from DFT lattice parameters and positions (GGA-PBE), the powder diffraction line list of Li2TlSnHg2 was calculated for Cu Kα (λ = 1.5418 Å).
No peak broadening, texture or thermal motion is included.

Main lines, sorted by position (2θ = 10–90°):
- 25.04 deg, 3.556 Å, I 100
- 35.02 deg, 2.563 Å, I 97
- 36.39 deg, 2.469 Å, I 85
- 44.68 deg, 2.028 Å, I 22
- 51.39 deg, 1.778 Å, I 33
- 58.94 deg, 1.567 Å, I 20
- 64.60 deg, 1.443 Å, I 34
- 65.48 deg, 1.425 Å, I 16
- 70.06 deg, 1.343 Å, I 22
- 87.77 deg, 1.112 Å, I 16

Atomic structure:
abc: 4.9378 4.9378 6.4019
angles: 90.00 90.00 120.00
Sites, in units of the cell vectors:
Li 0.3333 0.6667 0.2647
Li 0.6667 0.3333 0.7353
Tl 0.0000 0.0000 0.5000
Sn 0.0000 0.0000 0.0000
Hg 0.3333 0.6667 0.7718
Hg 0.6667 0.3333 0.2282

***

Starting from DFT lattice parameters and positions (GGA-PBE), the powder diffraction line list of Sr4Li5Hg6 was calculated for Cu Kα (λ = 1.5418 Å).
No peak broadening, texture or thermal motion is included.

Main lines, sorted by position (2θ = 10–90°):
- 22.57 deg, 3.940 Å, I 59
- 23.61 deg, 3.768 Å, I 100
- 25.71 deg, 3.466 Å, I 59
- 26.41 deg, 3.375 Å, I 62
- 27.95 deg, 3.192 Å, I 54
- 29.36 deg, 3.042 Å, I 69
- 32.27 deg, 2.774 Å, I 55
- 40.10 deg, 2.248 Å, I 58
- 40.49 deg, 2.228 Å, I 50
- 44.42 deg, 2.040 Å, I 49

Atomic structure:
abc: 11.5532 11.5532 16.8087
angles: 90.00 90.00 157.56
Sites, in units of the cell vectors:
Sr 0.0136 0.9864 0.5000
Sr 0.0338 0.9662 0.7643
Sr 0.1611 0.8389 0.2925
Sr 0.1867 0.8133 0.9268
Sr 0.8133 0.1867 0.4268
Sr 0.8389 0.1611 0.7925
Sr 0.9662 0.0338 0.2643
Sr 0.9864 0.0136 0.0000
Li 0.1540 0.8460 0.6197
Li 0.3045 0.6955 0.6022
Li 0.3383 0.6617 0.2543
Li 0.3582 0.6418 0.9811
Li 0.4398 0.5602 0.6587
Li 0.5602 0.4398 0.1587
Li 0.6418 0.3582 0.4811
Li 0.6617 0.3383 0.7543
Li 0.6955 0.3045 0.1022
Li 0.8460 0.1540 0.1197
Hg 0.1157 0.8843 0.1008
Hg 0.2132 0.7868 0.4794
Hg 0.2351 0.7649 0.7409
Hg 0.4203 0.5797 0.4040
Hg 0.4244 0.5756 0.1263
Hg 0.4405 0.5595 0.8514
Hg 0.5595 0.4405 0.3514
Hg 0.5756 0.4244 0.6263
Hg 0.5797 0.4203 0.9040
Hg 0.7649 0.2351 0.2409
Hg 0.7868 0.2132 0.9794
Hg 0.8843 0.1157 0.6008

***

Starting from DFT lattice parameters and positions (GGA-PBE), the powder diffraction line list of Sr6LiHg was calculated for Cu Kα (λ = 1.5418 Å).
No peak broadening, texture or thermal motion is included.

Main lines, sorted by position (2θ = 10–90°):
- 15.74 deg, 5.629 Å, I 32
- 19.94 deg, 4.452 Å, I 21
- 27.67 deg, 3.224 Å, I 100
- 30.55 deg, 2.926 Å, I 50
- 33.95 deg, 2.641 Å, I 16
- 34.55 deg, 2.596 Å, I 10
- 41.33 deg, 2.185 Å, I 9
- 43.75 deg, 2.069 Å, I 19
- 47.04 deg, 1.932 Å, I 10
- 52.56 deg, 1.741 Å, I 34

Atomic structure:
abc: 5.8518 5.8518 20.5778
angles: 90.00 90.00 90.00
Sites, in units of the cell vectors:
Sr 0.0000 0.0000 0.2482
Sr 0.0000 0.0000 0.7518
Sr 0.0000 0.5000 0.0961
Sr 0.0000 0.5000 0.4039
Sr 0.0000 0.5000 0.5961
Sr 0.0000 0.5000 0.9039
Sr 0.5000 0.0000 0.0961
Sr 0.5000 0.0000 0.4039
Sr 0.5000 0.0000 0.5961
Sr 0.5000 0.0000 0.9039
Sr 0.5000 0.5000 0.2518
Sr 0.5000 0.5000 0.7482
Li 0.0000 0.0000 0.0000
Li 0.5000 0.5000 0.5000
Hg 0.0000 0.0000 0.5000
Hg 0.5000 0.5000 0.0000

***

Starting from DFT lattice parameters and positions (GGA-PBE), the powder diffraction line list of Sr2Li5Hg was calculated for Cu Kα (λ = 1.5418 Å).
No peak broadening, texture or thermal motion is included.

Main lines, sorted by position (2θ = 10–90°):
- 14.26 deg, 6.213 Å, I 63
- 15.75 deg, 5.628 Å, I 100
- 24.56 deg, 3.625 Å, I 44
- 25.72 deg, 3.463 Å, I 31
- 28.27 deg, 3.157 Å, I 41
- 31.80 deg, 2.814 Å, I 47
- 32.52 deg, 2.753 Å, I 36
- 35.20 deg, 2.550 Å, I 48
- 48.47 deg, 1.878 Å, I 24
- 54.65 deg, 1.679 Å, I 27

Atomic structure:
abc: 6.3130 6.3130 12.4264
angles: 90.00 90.00 90.00
Sites, in units of the cell vectors:
Sr 0.0000 0.5000 0.0000
Sr 0.0000 0.5000 0.5000
Sr 0.5000 0.0000 0.0000
Sr 0.5000 0.0000 0.5000
Li 0.0000 0.0000 0.1156
Li 0.2427 0.2427 0.7572
Li 0.2427 0.7573 0.7572
Li 0.2573 0.2573 0.2572
Li 0.2573 0.7427 0.2572
Li 0.5000 0.5000 0.6156
Li 0.7427 0.2573 0.2572
Li 0.7427 0.7427 0.2572
Li 0.7573 0.2427 0.7572
Li 0.7573 0.7573 0.7572
Hg 0.0000 0.0000 0.8983
Hg 0.5000 0.5000 0.3983

***

Starting from DFT lattice parameters and positions (GGA-PBE), the powder diffraction line list of Sr2LiHg3 was calculated for Cu Kα (λ = 1.5418 Å).
No peak broadening, texture or thermal motion is included.

Main lines, sorted by position (2θ = 10–90°):
- 20.87 deg, 4.256 Å, I 25
- 21.65 deg, 4.106 Å, I 29
- 29.46 deg, 3.032 Å, I 17
- 30.05 deg, 2.974 Å, I 100
- 35.98 deg, 2.496 Å, I 27
- 36.09 deg, 2.488 Å, I 53
- 42.48 deg, 2.128 Å, I 20
- 47.58 deg, 1.911 Å, I 18
- 58.24 deg, 1.584 Å, I 40
- 61.21 deg, 1.514 Å, I 17

Atomic structure:
abc: 9.9540 9.5400 6.4638
angles: 74.14 67.21 38.66
Sites, in units of the cell vectors:
Sr 0.2456 0.7544 0.7544
Sr 0.2500 0.2500 0.2500
Sr 0.7500 0.7500 0.7500
Sr 0.7544 0.2456 0.2456
Li 0.3331 0.3331 0.6669
Li 0.6669 0.6669 0.3331
Hg 0.1735 0.1735 0.8265
Hg 0.1753 0.6502 0.3498
Hg 0.3498 0.8247 0.1753
Hg 0.6502 0.1753 0.8247
Hg 0.8247 0.3498 0.6502
Hg 0.8265 0.8265 0.1735

***

Starting from DFT lattice parameters and positions (GGA-PBE), the powder diffraction line list of Sr6Li15Hg8 was calculated for Cu Kα (λ = 1.5418 Å).
No peak broadening, texture or thermal motion is included.

Main lines, sorted by position (2θ = 10–90°):
- 10.68 deg, 8.281 Å, I 40
- 20.54 deg, 4.324 Å, I 54
- 24.83 deg, 3.586 Å, I 31
- 27.10 deg, 3.290 Å, I 65
- 32.44 deg, 2.760 Å, I 23
- 35.40 deg, 2.535 Å, I 100
- 48.77 deg, 1.867 Å, I 19
- 50.94 deg, 1.793 Å, I 15
- 52.20 deg, 1.752 Å, I 27
- 63.56 deg, 1.464 Å, I 28

Atomic structure:
abc: 10.1418 10.1418 10.1418
angles: 60.00 60.00 60.00
Sites, in units of the cell vectors:
Sr 0.2277 0.2277 0.7723
Sr 0.2277 0.7723 0.2277
Sr 0.2277 0.7723 0.7723
Sr 0.7723 0.2277 0.2277
Sr 0.7723 0.2277 0.7723
Sr 0.7723 0.7723 0.2277
Li 0.0000 0.0000 0.5000
Li 0.0000 0.5000 0.0000
Li 0.0000 0.5000 0.5000
Li 0.1772 0.1772 0.1772
Li 0.1772 0.1772 0.4683
Li 0.1772 0.4683 0.1772
Li 0.4683 0.1772 0.1772
Li 0.5000 0.0000 0.0000
Li 0.5000 0.0000 0.5000
Li 0.5000 0.5000 0.0000
Li 0.5000 0.5000 0.5000
Li 0.5317 0.8228 0.8228
Li 0.8228 0.5317 0.8228
Li 0.8228 0.8228 0.5317
Li 0.8228 0.8228 0.8228
Hg 0.0974 0.6342 0.6342
Hg 0.3658 0.3658 0.3658
Hg 0.3658 0.3658 0.9026
Hg 0.3658 0.9026 0.3658
Hg 0.6342 0.0974 0.6342
Hg 0.6342 0.6342 0.0974
Hg 0.6342 0.6342 0.6342
Hg 0.9026 0.3658 0.3658